# Na3ZrScSiP2O12
Theoretical powder X-ray diffraction pattern, Cu Kα (weighted mean of Kα1 and Kα2). Input: the GGA-PBE geometry in the Materials Project.
Lines closer than 0.1° are merged.

Most intense lines, 2θ from 15° to 90°, sorted by position:
19.41 deg, 4.573 Å, I = 100
22.78 deg, 3.903 Å, I = 41
22.92 deg, 3.880 Å, I = 27
27.69 deg, 3.222 Å, I = 25
30.82 deg, 2.901 Å, I = 40
30.95 deg, 2.889 Å, I = 41
31.11 deg, 2.875 Å, I = 34
34.01 deg, 2.636 Å, I = 66

Atomic structure:
a = 9.1292 Å, b = 9.1292 Å, c = 9.0859 Å
α = 119.62°, β = 119.62°, γ = 60.08°
Element x y z (fractional)
1 Na 0.0682 0.9318 0.5000
2 Na 0.2133 0.4248 0.9708
3 Na 0.3432 0.7856 0.2023
4 Na 0.4248 0.2133 0.4708
5 Na 0.7856 0.3432 0.7023
6 Na 0.9318 0.0682 0.0000
7 Zr 0.4668 0.9516 0.6495
8 Zr 0.9516 0.4668 0.1495
9 Sc 0.1751 0.6623 0.7705
10 Sc 0.6623 0.1751 0.2705
11 Si 0.3553 0.5618 0.4500
12 Si 0.5618 0.3553 0.9500
13 P 0.0631 0.2670 0.4662
14 P 0.2670 0.0631 0.9662
15 P 0.7696 0.8627 0.4678
16 P 0.8627 0.7696 0.9678
17 O 0.0182 0.3045 0.2948
18 O 0.0344 0.7503 0.9551
19 O 0.0909 0.2299 0.9641
20 O 0.1057 0.4241 0.6346
21 O 0.1900 0.5122 0.2638
22 O 0.2279 0.9128 0.9575
23 O 0.2299 0.0909 0.4641
24 O 0.2939 0.6118 0.6142
25 O 0.3045 0.0182 0.7948
26 O 0.3696 0.7405 0.4614
27 O 0.3898 0.5389 0.9529
28 O 0.4241 0.1057 0.1346
29 O 0.5122 0.1900 0.7638
30 O 0.5389 0.3898 0.4529
31 O 0.5855 0.8855 0.4603
32 O 0.6118 0.2939 0.1142
33 O 0.6974 0.8132 0.8027
34 O 0.7405 0.3696 0.9614
35 O 0.7503 0.0344 0.4551
36 O 0.8132 0.6974 0.3027
37 O 0.8330 0.9218 0.1395
38 O 0.8855 0.5855 0.9603
39 O 0.9128 0.2279 0.4575
40 O 0.9218 0.8330 0.6395